# 1
Theoretical powder X-ray diffraction pattern of CdTc3 for Cu Kα X-rays, from a cell relaxed with PBE.
Neutral-atom scattering factors, no anomalous dispersion.

Largest 8 diffraction maxima, sorted by position, 2θ = 10–90°:
| two_theta | Rel. int. |
| --- | --- |
| 36.0 | 13 |
| 37.6 | 20 |
| 37.7 | 16 |
| 39.7 | 38 |
| 41.3 | 100 |
| 42.7 | 27 |
| 55.8 | 12 |
| 73.2 | 18 |

Cell lengths 5.6073, 5.6073, 4.5384 Å; angles 90.00, 90.00, 117.24 degrees
Fractional positions:
Cd1 0.1388 0.8612 0.7500
Cd2 0.8612 0.1388 0.2500
Tc1 0.1934 0.3828 0.7500
Tc2 0.3218 0.6782 0.2500
Tc3 0.3828 0.1934 0.2500
Tc4 0.6172 0.8066 0.7500
Tc5 0.6782 0.3218 0.7500
Tc6 0.8066 0.6172 0.2500



# 2
Theoretical powder X-ray diffraction pattern of CdTc7 for Cu Kα X-rays, from a cell relaxed with PBE.
Neutral-atom scattering factors, no anomalous dispersion.

Largest 5 diffraction maxima, sorted by position, 2θ = 10–90°:
| two_theta | Rel. int. |
| --- | --- |
| 39.8 | 100 |
| 46.3 | 48 |
| 67.5 | 30 |
| 81.3 | 35 |
| 85.8 | 10 |

Cell lengths 5.5482, 5.5482, 5.5482 Å; angles 60.00, 60.00, 60.00 degrees
Fractional positions:
Cd1 0.0000 0.0000 0.0000
Tc1 0.0000 0.0000 0.5000
Tc2 0.0000 0.5000 0.0000
Tc3 0.0000 0.5000 0.5000
Tc4 0.5000 0.0000 0.0000
Tc5 0.5000 0.0000 0.5000
Tc6 0.5000 0.5000 0.0000
Tc7 0.5000 0.5000 0.5000



# 3
Theoretical powder X-ray diffraction pattern of CdTc4 for Cu Kα X-rays, from a cell relaxed with PBE.
Neutral-atom scattering factors, no anomalous dispersion.

Largest 8 diffraction maxima, sorted by position, 2θ = 10–90°:
| two_theta | Rel. int. |
| --- | --- |
| 39.5 | 100 |
| 45.1 | 17 |
| 46.3 | 30 |
| 66.6 | 20 |
| 67.5 | 9 |
| 79.5 | 12 |
| 81.2 | 21 |
| 85.0 | 10 |

Cell lengths 4.8236, 4.8236, 4.8236 Å; angles 99.99, 99.99, 130.77 degrees
Fractional positions:
Cd1 0.0000 0.0000 0.0000
Tc1 0.1964 0.4183 0.6146
Tc2 0.4183 0.8036 0.2219
Tc3 0.5817 0.1964 0.7781
Tc4 0.8036 0.5817 0.3854



# 4
Theoretical powder X-ray diffraction pattern of Th5Cd2Tc2 for Cu Kα X-rays, from a cell relaxed with PBE.
Neutral-atom scattering factors, no anomalous dispersion.

Largest 8 diffraction maxima, sorted by position, 2θ = 10–90°:
| two_theta | Rel. int. |
| --- | --- |
| 31.0 | 71 |
| 32.3 | 100 |
| 32.7 | 62 |
| 43.7 | 22 |
| 48.8 | 16 |
| 55.7 | 28 |
| 56.5 | 28 |
| 58.9 | 23 |

Cell lengths 8.5400, 8.4851, 5.7724 Å; angles 70.69, 69.67, 39.64 degrees
Fractional positions:
Th1 0.0000 0.0000 0.0000
Th2 0.1275 0.1275 0.3725
Th3 0.3725 0.3725 0.1275
Th4 0.6275 0.6275 0.8725
Th5 0.8725 0.8725 0.6275
Cd1 0.2492 0.2492 0.7508
Cd2 0.7508 0.7508 0.2492
Tc1 0.3303 0.6697 0.6697
Tc2 0.6697 0.3303 0.3303



# 5
Theoretical powder X-ray diffraction pattern of ThCdTc for Cu Kα X-rays, from a cell relaxed with PBE.
Neutral-atom scattering factors, no anomalous dispersion.

Largest 8 diffraction maxima, sorted by position, 2θ = 10–90°:
| two_theta | Rel. int. |
| --- | --- |
| 29.4 | 31 |
| 32.6 | 100 |
| 33.2 | 67 |
| 35.5 | 54 |
| 37.7 | 36 |
| 40.8 | 29 |
| 45.2 | 28 |
| 58.9 | 26 |

Cell lengths 9.3226, 9.3226, 3.8579 Å; angles 90.00, 90.00, 155.13 degrees
Fractional positions:
Th1 0.0917 0.9083 0.7500
Th2 0.9083 0.0917 0.2500
Cd1 0.2893 0.7107 0.7500
Cd2 0.7107 0.2893 0.2500
Tc1 0.4477 0.5523 0.7500
Tc2 0.5523 0.4477 0.2500



# 6
Theoretical powder X-ray diffraction pattern of Tm8CdTc2 for Cu Kα X-rays, from a cell relaxed with PBE.
Neutral-atom scattering factors, no anomalous dispersion.

Largest 8 diffraction maxima, sorted by position, 2θ = 10–90°:
| two_theta | Rel. int. |
| --- | --- |
| 31.6 | 86 |
| 31.7 | 45 |
| 31.8 | 28 |
| 33.6 | 40 |
| 34.3 | 76 |
| 35.8 | 100 |
| 49.6 | 22 |
| 59.6 | 23 |

Cell lengths 8.8702, 8.8702, 5.2337 Å; angles 107.15, 107.15, 121.90 degrees
Fractional positions:
Tm1 0.0000 0.0000 0.0000
Tm2 0.0827 0.7496 0.4166
Tm3 0.1754 0.5933 0.8849
Tm4 0.2745 0.2745 0.7740
Tm5 0.4457 0.6678 0.5570
Tm6 0.5933 0.1754 0.8849
Tm7 0.6678 0.4457 0.5570
Tm8 0.7496 0.0827 0.4166
Cd1 0.7017 0.7017 0.2018
Tc1 0.0222 0.3502 0.1874
Tc2 0.3502 0.0222 0.1874



# 7
Theoretical powder X-ray diffraction pattern of Tm6Cd2Tc for Cu Kα X-rays, from a cell relaxed with PBE.
Neutral-atom scattering factors, no anomalous dispersion.

Largest 8 diffraction maxima, sorted by position, 2θ = 10–90°:
| two_theta | Rel. int. |
| --- | --- |
| 25.2 | 16 |
| 25.3 | 32 |
| 35.5 | 29 |
| 36.0 | 100 |
| 36.8 | 23 |
| 52.1 | 17 |
| 64.1 | 19 |
| 65.8 | 14 |

Cell lengths 8.5180, 8.5180, 8.5180 Å; angles 145.44, 130.95, 61.38 degrees
Fractional positions:
Tm1 0.0864 0.3448 0.7416
Tm2 0.2271 0.0000 0.2271
Tm3 0.3967 0.6552 0.7416
Tm4 0.6033 0.3448 0.2584
Tm5 0.7729 0.0000 0.7729
Tm6 0.9136 0.6552 0.2584
Cd1 0.3339 0.8339 0.5000
Cd2 0.6661 0.1661 0.5000
Tc1 0.0000 0.5000 0.5000



# 8
Theoretical powder X-ray diffraction pattern of Tm6Cd3Tc for Cu Kα X-rays, from a cell relaxed with PBE.
Neutral-atom scattering factors, no anomalous dispersion.

Largest 8 diffraction maxima, sorted by position, 2θ = 10–90°:
| two_theta | Rel. int. |
| --- | --- |
| 32.1 | 28 |
| 33.5 | 29 |
| 34.3 | 68 |
| 34.4 | 74 |
| 34.9 | 100 |
| 37.8 | 18 |
| 48.7 | 20 |
| 61.8 | 20 |

Cell lengths 9.0327, 5.2272, 11.2177 Å; angles 90.00, 108.63, 90.00 degrees
Fractional positions:
Tm1 0.0352 0.2500 0.4137
Tm2 0.1902 0.7500 0.1686
Tm3 0.2836 0.2500 0.0067
Tm4 0.3479 0.7500 0.8309
Tm5 0.3792 0.2500 0.3407
Tm6 0.3922 0.2500 0.6461
Tm7 0.6078 0.7500 0.3539
Tm8 0.6208 0.7500 0.6593
Tm9 0.6521 0.2500 0.1691
Tm10 0.7164 0.7500 0.9933
Tm11 0.8098 0.2500 0.8314
Tm12 0.9648 0.7500 0.5863
Cd1 0.0117 0.7500 0.8734
Cd2 0.0918 0.2500 0.7208
Cd3 0.2713 0.7500 0.4734
Cd4 0.7287 0.2500 0.5266
Cd5 0.9082 0.7500 0.2792
Cd6 0.9883 0.2500 0.1266
Tc1 0.4632 0.7500 0.0987
Tc2 0.5368 0.2500 0.9013



# 9
Theoretical powder X-ray diffraction pattern of Y6CdTc2 for Cu Kα X-rays, from a cell relaxed with PBE.
Neutral-atom scattering factors, no anomalous dispersion.

Largest 8 diffraction maxima, sorted by position, 2θ = 10–90°:
| two_theta | Rel. int. |
| --- | --- |
| 31.4 | 100 |
| 33.2 | 42 |
| 34.2 | 42 |
| 34.5 | 15 |
| 34.7 | 51 |
| 37.4 | 39 |
| 58.7 | 19 |
| 67.2 | 16 |

Cell lengths 8.5641, 8.5641, 8.5641 Å; angles 111.70, 111.58, 105.21 degrees
Fractional positions:
Y1 0.0215 0.8158 0.2057
Y2 0.2341 0.5230 0.2888
Y3 0.2341 0.9453 0.7112
Y4 0.2827 0.3105 0.5932
Y5 0.2827 0.6895 0.9722
Y6 0.3899 0.1842 0.2057
Y7 0.6101 0.8158 0.7943
Y8 0.7173 0.3105 0.0278
Y9 0.7173 0.6895 0.4068
Y10 0.7659 0.0547 0.2888
Y11 0.7659 0.4770 0.7112
Y12 0.9785 0.1842 0.7943
Cd1 0.0000 0.5000 0.5000
Cd2 0.5000 0.0000 0.5000
Tc1 0.0000 0.1275 0.1275
Tc2 0.0000 0.8725 0.8725
Tc3 0.3864 0.3864 0.0000
Tc4 0.6136 0.6136 0.0000



# 10
Theoretical powder X-ray diffraction pattern of Cd5Te7 for Cu Kα X-rays, from a cell relaxed with PBE.
Neutral-atom scattering factors, no anomalous dispersion.

Largest 8 diffraction maxima, sorted by position, 2θ = 10–90°:
| two_theta | Rel. int. |
| --- | --- |
| 17.9 | 74 |
| 22.6 | 65 |
| 25.9 | 79 |
| 29.4 | 100 |
| 34.3 | 53 |
| 35.0 | 49 |
| 37.5 | 50 |
| 44.1 | 41 |

Cell lengths 8.3940, 8.3940, 8.3940 Å; angles 110.39, 110.39, 107.65 degrees
Fractional positions:
Cd1 0.0000 0.0000 0.0000
Cd2 0.1068 0.1068 0.3917
Cd3 0.1068 0.7151 0.0000
Cd4 0.7151 0.1068 0.0000
Cd5 0.7151 0.7151 0.6083
Te1 0.1637 0.6637 0.5000
Te2 0.1973 0.4763 0.7210
Te3 0.2824 0.2824 0.0000
Te4 0.4763 0.1973 0.7210
Te5 0.4763 0.7553 0.2790
Te6 0.6637 0.1637 0.5000
Te7 0.7553 0.4763 0.2790



# 11
Theoretical powder X-ray diffraction pattern of Cd3Te for Cu Kα X-rays, from a cell relaxed with PBE.
Neutral-atom scattering factors, no anomalous dispersion.

Largest 8 diffraction maxima, sorted by position, 2θ = 10–90°:
| two_theta | Rel. int. |
| --- | --- |
| 27.2 | 27 |
| 28.5 | 54 |
| 32.6 | 100 |
| 36.4 | 22 |
| 40.1 | 16 |
| 41.4 | 34 |
| 42.3 | 21 |
| 56.3 | 20 |

Cell lengths 5.0646, 8.7306, 9.8707 Å; angles 90.00, 90.00, 90.00 degrees
Fractional positions:
Cd1 0.1456 0.0121 0.1377
Cd2 0.1456 0.4879 0.1377
Cd3 0.2072 0.2500 0.8335
Cd4 0.2928 0.7500 0.3335
Cd5 0.3544 0.5121 0.6377
Cd6 0.3544 0.9879 0.6377
Cd7 0.6456 0.0121 0.3623
Cd8 0.6456 0.4879 0.3623
Cd9 0.7072 0.2500 0.6665
Cd10 0.7928 0.7500 0.1665
Cd11 0.8544 0.5121 0.8623
Cd12 0.8544 0.9879 0.8623
Te1 0.0321 0.2500 0.4224
Te2 0.4679 0.7500 0.9224
Te3 0.5321 0.2500 0.0776
Te4 0.9679 0.7500 0.5776



# 12
Theoretical powder X-ray diffraction pattern of Cd4Te3 for Cu Kα X-rays, from a cell relaxed with PBE.
Neutral-atom scattering factors, no anomalous dispersion.

Largest 8 diffraction maxima, sorted by position, 2θ = 10–90°:
| two_theta | Rel. int. |
| --- | --- |
| 25.2 | 100 |
| 32.7 | 28 |
| 35.9 | 32 |
| 41.7 | 58 |
| 44.4 | 17 |
| 49.4 | 27 |
| 64.6 | 12 |
| 66.6 | 15 |

Cell lengths 6.1207, 6.1207, 6.1207 Å; angles 90.00, 90.00, 90.00 degrees
Fractional positions:
Cd1 0.2009 0.2009 0.7991
Cd2 0.2009 0.7991 0.2009
Cd3 0.7991 0.2009 0.2009
Cd4 0.7991 0.7991 0.7991
Te1 0.0000 0.5000 0.5000
Te2 0.5000 0.0000 0.5000
Te3 0.5000 0.5000 0.0000